Record 1
Simulated powder diffractogram
Compound: PdS2Cl6
Radiation: Cu Kα (weighted mean of Kα1 and Kα2)
Structure: the GGA-PBE geometry in Alexandria
Kinematic intensities with the Lorentz-polarization factor, no thermal factor.

Crystal structure
a b c (Å): 3.621 8.183 9.655
angles (deg): 75.05 87.80 87.25
Space group P-1 (No. 2)
Inequivalent atoms, fractional coordinates:
Pd  0.000  0.000  0.000
S  0.004  0.377  0.567
Cl  0.019  0.259  0.408
Cl  0.025  0.015  0.755
Cl  0.480  0.207  0.964

The 10 most intense peaks (2θ = 5–70°), sorted by position:
d 9.325, 2θ = 9.5°, intensity 16
d 7.899, 2θ = 11.2°, intensity 87
d 6.974, 2θ = 12.7°, intensity 100
d 5.384, 2θ = 16.5°, intensity 53
d 4.662, 2θ = 19.0°, intensity 38
d 3.616, 2θ = 24.6°, intensity 41
d 3.340, 2θ = 26.7°, intensity 15
d 2.762, 2θ = 32.4°, intensity 14
d 2.426, 2θ = 37.1°, intensity 15
d 2.410, 2θ = 37.3°, intensity 13

---

Record 2
Simulated powder diffractogram
Compound: PrNb3O9
Radiation: Cu Kα (weighted mean of Kα1 and Kα2)
Structure: the GGA-PBE geometry in Alexandria
Kinematic intensities with the Lorentz-polarization factor, no thermal factor.

Crystal structure
a b c (Å): 5.443 7.746 16.664
angles (deg): 90.00 92.09 90.00
Space group P2_1/c (No. 14)
Inequivalent atoms, fractional coordinates:
Pr  0.033  0.250  0.467
Nb  0.009  0.030  0.249
Nb  0.471  0.020  0.600
Nb  0.481  0.503  0.600
O  0.096  0.245  0.741
O  0.150  0.553  0.644
O  0.155  0.562  0.144
O  0.263  0.538  0.483
O  0.264  0.536  0.983
O  0.316  0.548  0.812
O  0.320  0.553  0.310
O  0.351  0.248  0.081
O  0.439  0.249  0.905

The 10 most intense peaks (2θ = 5–70°), sorted by position:
d 8.326, 2θ = 10.6°, intensity 53
d 3.874, 2θ = 23.0°, intensity 36
d 3.512, 2θ = 25.4°, intensity 41
d 3.366, 2θ = 26.5°, intensity 100
d 3.249, 2θ = 27.4°, intensity 85
d 3.155, 2θ = 28.3°, intensity 65
d 2.971, 2θ = 30.1°, intensity 53
d 2.930, 2θ = 30.5°, intensity 81
d 2.720, 2θ = 32.9°, intensity 55
d 1.937, 2θ = 46.9°, intensity 43